Diffraction record for Y2HoZrSc4. The PXRD pattern is theoretical, not measured: it uses a cell relaxed with PBE and Cu Kα X-rays.
Lines closer than 0.1° are merged.

Cell and atoms:
```
Y2HoZrSc4
1.0
6.8771 0.0000 0.0000
0.0000 8.9344 0.0000
-0.0077 0.0000 6.9199
Y Ho Zr Sc
4 2 2 8
direct
0.0000 0.0000 0.0000
0.0000 0.5000 0.5000
0.5000 0.0000 0.5000
0.5000 0.5000 0.0000
0.0000 0.0000 0.5000
0.5000 0.5000 0.5000
0.0000 0.5000 0.0000
0.5000 0.0000 0.0000
0.2501 0.2500 0.2367
0.2499 0.2500 0.7633
0.2501 0.7500 0.2367
0.2499 0.7500 0.7633
0.7501 0.2500 0.2367
0.7499 0.2500 0.7633
0.7501 0.7500 0.2367
0.7499 0.7500 0.7633
```

Peak list (10 most intense, 2θ from 5° to 70°, in order of falling intensity)
- 32.7 deg, d = 2.735 Å, intensity 100
- 32.9 deg, d = 2.725 Å, intensity 98
- 36.9 deg, d = 2.439 Å, intensity 71
- 55.8 deg, d = 1.647 Å, intensity 41
- 68.6 deg, d = 1.367 Å, intensity 32
- 19.9 deg, d = 4.467 Å, intensity 29
- 40.4 deg, d = 2.234 Å, intensity 27
- 64.0 deg, d = 1.456 Å, intensity 27
- 25.7 deg, d = 3.460 Å, intensity 16
- 25.9 deg, d = 3.439 Å, intensity 16

Diffraction record for MnNi7As2. The PXRD pattern is theoretical, not measured: it uses a cell relaxed with PBE and Cu Kα X-rays.
Lines closer than 0.1° are merged.

Cell and atoms:
```
MnNi7As2
1.0
-1.8250 1.8250 9.5541
1.8250 -1.8250 9.5541
1.8250 1.8250 -9.5541
Mn Ni As
1 7 2
direct
0.0000 0.0000 0.0000
0.0927 0.5927 0.5000
0.2500 0.7500 0.5000
0.4073 0.9073 0.5000
0.5000 0.5000 0.0000
0.5927 0.0927 0.5000
0.7500 0.2500 0.5000
0.9073 0.4073 0.5000
0.3297 0.3297 0.0000
0.6703 0.6703 0.0000
```

Peak list (10 most intense, 2θ from 5° to 70°, in order of falling intensity)
- 45.2 deg, d = 2.005 Å, intensity 100
- 50.0 deg, d = 1.825 Å, intensity 39
- 28.2 deg, d = 3.167 Å, intensity 19
- 57.9 deg, d = 1.592 Å, intensity 10
- 24.8 deg, d = 3.585 Å, intensity 8
- 58.3 deg, d = 1.582 Å, intensity 6
- 34.0 deg, d = 2.640 Å, intensity 6
- 39.7 deg, d = 2.271 Å, intensity 4
- 49.7 deg, d = 1.835 Å, intensity 4
- 34.8 deg, d = 2.581 Å, intensity 3

Diffraction record for Ta2Ti5Pd2. The PXRD pattern is theoretical, not measured: it uses a cell relaxed with PBE and Cu Kα X-rays.
Lines closer than 0.1° are merged.

Cell and atoms:
```
Ta2Ti5Pd2
1.0
2.8366 0.0000 0.0000
0.7110 6.8692 0.0000
0.2942 1.6261 7.7385
Ta Ti Pd
2 5 2
direct
0.1988 0.3288 0.1058
0.8012 0.6712 0.8942
0.0000 0.0000 0.0000
0.0743 0.6899 0.5514
0.4495 0.6435 0.2280
0.5505 0.3565 0.7720
0.9257 0.3101 0.4486
0.3815 0.0111 0.6807
0.6185 0.9889 0.3193
```

Peak list (10 most intense, 2θ from 5° to 70°, in order of falling intensity)
- 39.9 deg, d = 2.260 Å, intensity 100
- 15.6 deg, d = 5.687 Å, intensity 62
- 39.4 deg, d = 2.285 Å, intensity 56
- 38.3 deg, d = 2.349 Å, intensity 54
- 40.2 deg, d = 2.241 Å, intensity 47
- 39.6 deg, d = 2.276 Å, intensity 47
- 11.4 deg, d = 7.739 Å, intensity 37
- 24.1 deg, d = 3.698 Å, intensity 34
- 33.2 deg, d = 2.697 Å, intensity 19
- 56.6 deg, d = 1.627 Å, intensity 17

Diffraction record for Ta3Mn3N. The PXRD pattern is theoretical, not measured: it uses a cell relaxed with PBE and Cu Kα X-rays.
Lines closer than 0.1° are merged.

Cell and atoms:
```
Ta3Mn3N
1.0
0.0000 5.6771 5.6771
5.6771 0.0000 5.6771
5.6771 5.6771 0.0000
Ta Mn N
12 12 4
direct
0.0706 0.0706 0.6794
0.0706 0.6794 0.0706
0.0706 0.6794 0.6794
0.3206 0.3206 0.9294
0.3206 0.9294 0.3206
0.3206 0.9294 0.9294
0.6794 0.0706 0.0706
0.6794 0.0706 0.6794
0.6794 0.6794 0.0706
0.9294 0.3206 0.3206
0.9294 0.3206 0.9294
0.9294 0.9294 0.3206
0.0000 0.5000 0.5000
0.2976 0.2976 0.2976
0.2976 0.2976 0.6071
0.2976 0.6071 0.2976
0.3929 0.7024 0.7024
0.5000 0.0000 0.5000
0.5000 0.5000 0.0000
0.5000 0.5000 0.5000
0.6071 0.2976 0.2976
0.7024 0.3929 0.7024
0.7024 0.7024 0.3929
0.7024 0.7024 0.7024
0.0000 0.0000 0.0000
0.0000 0.0000 0.5000
0.0000 0.5000 0.0000
0.5000 0.0000 0.0000
```

Peak list (10 most intense, 2θ from 5° to 70°, in order of falling intensity)
- 41.3 deg, d = 2.185 Å, intensity 100
- 38.9 deg, d = 2.318 Å, intensity 58
- 45.2 deg, d = 2.007 Å, intensity 33
- 34.4 deg, d = 2.605 Å, intensity 32
- 31.5 deg, d = 2.839 Å, intensity 31
- 58.0 deg, d = 1.590 Å, intensity 18
- 67.5 deg, d = 1.387 Å, intensity 17
- 13.5 deg, d = 6.555 Å, intensity 12
- 62.9 deg, d = 1.478 Å, intensity 11
- 22.1 deg, d = 4.014 Å, intensity 7

Diffraction record for NaCaPuI6. The PXRD pattern is theoretical, not measured: it uses a cell relaxed with PBE and Cu Kα X-rays.
Lines closer than 0.1° are merged.

Cell and atoms:
```
NaCaPuI6
1.0
7.9133 0.0000 0.0000
-3.9567 6.8531 0.0000
0.0000 0.0000 14.5100
Na Ca Pu I
2 2 2 12
direct
0.0000 0.0000 0.0000
0.0000 0.0000 0.5000
0.3333 0.6667 0.2500
0.6667 0.3333 0.7500
0.3333 0.6667 0.7500
0.6667 0.3333 0.2500
0.0035 0.3502 0.6279
0.0035 0.6533 0.8721
0.3467 0.3502 0.8721
0.3467 0.9965 0.6279
0.3502 0.0035 0.1279
0.3502 0.3467 0.3721
0.6498 0.6533 0.6279
0.6498 0.9965 0.8721
0.6533 0.0035 0.3721
0.6533 0.6498 0.1279
0.9965 0.3467 0.1279
0.9965 0.6498 0.3721
```

Peak list (10 most intense, 2θ from 5° to 70°, in order of falling intensity)
- 25.6 deg, d = 3.474 Å, intensity 100
- 33.5 deg, d = 2.674 Å, intensity 50
- 39.5 deg, d = 2.284 Å, intensity 41
- 43.9 deg, d = 2.063 Å, intensity 24
- 14.3 deg, d = 6.197 Å, intensity 22
- 47.6 deg, d = 1.909 Å, intensity 17
- 65.7 deg, d = 1.420 Å, intensity 16
- 12.2 deg, d = 7.255 Å, intensity 15
- 63.5 deg, d = 1.465 Å, intensity 14
- 17.8 deg, d = 4.982 Å, intensity 13

Diffraction record for Re2H4O9. The PXRD pattern is theoretical, not measured: it uses a cell relaxed with PBE and Cu Kα X-rays.
Lines closer than 0.1° are merged.

Cell and atoms:
```
Re2H4O9
1.0
5.0605 0.0000 0.0000
0.0000 9.4525 0.0000
-2.2978 0.0000 8.4774
Re H O
4 8 18
direct
0.0734 0.9998 0.0670
0.3214 0.5000 0.3791
0.6786 0.0000 0.6209
0.9266 0.4998 0.9330
0.2375 0.1655 0.6650
0.2376 0.8347 0.6654
0.4780 0.2707 0.2173
0.4782 0.7293 0.2173
0.5218 0.2293 0.7827
0.5220 0.7707 0.7827
0.7624 0.3347 0.3346
0.7625 0.6655 0.3350
0.1202 0.5001 0.1354
0.1235 0.3558 0.4057
0.1237 0.6442 0.4060
0.1475 0.4993 0.8130
0.2774 0.1513 0.1054
0.2778 0.8484 0.1047
0.4084 0.9998 0.4534
0.4291 0.1447 0.7240
0.4292 0.8555 0.7244
0.5708 0.3555 0.2756
0.5709 0.6447 0.2760
0.5916 0.4998 0.5466
0.7222 0.3484 0.8953
0.7226 0.6513 0.8946
0.8525 0.9993 0.1870
0.8763 0.1442 0.5940
0.8765 0.8558 0.5943
0.8798 0.0001 0.8646
```

Peak list (10 most intense, 2θ from 5° to 70°, in order of falling intensity)
- 23.0 deg, d = 3.868 Å, intensity 100
- 18.8 deg, d = 4.726 Å, intensity 96
- 18.4 deg, d = 4.811 Å, intensity 95
- 26.4 deg, d = 3.372 Å, intensity 82
- 25.1 deg, d = 3.543 Å, intensity 67
- 42.6 deg, d = 2.121 Å, intensity 28
- 42.2 deg, d = 2.144 Å, intensity 25
- 38.1 deg, d = 2.364 Å, intensity 21
- 37.0 deg, d = 2.430 Å, intensity 18
- 35.5 deg, d = 2.529 Å, intensity 17

Diffraction record for Ca2NdHg4. The PXRD pattern is theoretical, not measured: it uses a cell relaxed with PBE and Cu Kα X-rays.
Lines closer than 0.1° are merged.

Cell and atoms:
```
Ca2NdHg4
1.0
2.6183 1.5116 8.8885
-2.6183 1.5116 8.8885
0.0000 -3.0233 8.8885
Ca Nd Hg
2 1 4
direct
0.2431 0.2431 0.2431
0.7569 0.7569 0.7569
0.0000 0.0000 0.0000
0.1241 0.1241 0.1241
0.3742 0.3742 0.3742
0.6258 0.6258 0.6258
0.8759 0.8759 0.8759
```

Peak list (10 most intense, 2θ from 5° to 70°, in order of falling intensity)
- 33.4 deg, d = 2.686 Å, intensity 100
- 34.2 deg, d = 2.618 Å, intensity 94
- 23.7 deg, d = 3.750 Å, intensity 71
- 60.8 deg, d = 1.524 Å, intensity 36
- 48.6 deg, d = 1.875 Å, intensity 35
- 59.1 deg, d = 1.564 Å, intensity 19
- 61.3 deg, d = 1.512 Å, intensity 18
- 54.1 deg, d = 1.694 Å, intensity 17
- 42.1 deg, d = 2.147 Å, intensity 17
- 55.3 deg, d = 1.660 Å, intensity 16

Diffraction record for CdRuPb2. The PXRD pattern is theoretical, not measured: it uses a cell relaxed with PBE and Cu Kα X-rays.
Lines closer than 0.1° are merged.

Cell and atoms:
```
CdRuPb2
1.0
3.3168 0.0000 0.0000
0.0000 3.3172 0.0000
-0.2614 0.0000 8.8441
Cd Ru Pb
1 1 2
direct
0.0000 0.0000 0.0000
0.0000 0.0000 0.5000
0.4866 0.5000 0.3050
0.5134 0.5000 0.6950
```

Peak list (10 most intense, 2θ from 5° to 70°, in order of falling intensity)
- 33.8 deg, d = 2.654 Å, intensity 100
- 38.4 deg, d = 2.345 Å, intensity 97
- 34.3 deg, d = 2.616 Å, intensity 52
- 33.3 deg, d = 2.691 Å, intensity 48
- 10.0 deg, d = 8.844 Å, intensity 47
- 55.4 deg, d = 1.658 Å, intensity 34
- 30.3 deg, d = 2.948 Å, intensity 31
- 41.0 deg, d = 2.204 Å, intensity 24
- 26.9 deg, d = 3.316 Å, intensity 22
- 49.1 deg, d = 1.854 Å, intensity 18